This entry pairs a crystal structure of Ac8Ni3PtI3 with its theoretical powder X-ray diffraction pattern. Radiation: λ = 1.5418 Å (Cu Kα). Structure: DFT lattice parameters and positions (GGA-PBE).

Crystal structure
Lattice parameters (Å, degrees): 15.2137 8.7983 9.8868 90.00 120.92 90.00
Space group C2/m (No. 12)
Asymmetric unit:
Ac1 0.0240 0.2442 0.3151 x8
Ac2 0.2280 0.0000 0.6852 x4
Ac3 0.2324 0.5000 0.6853 x4
Ni1 0.0000 0.0000 0.5000 x2
Ni2 0.2500 0.2500 0.5000 x4
Pt1 0.0000 0.5000 0.5000 x2
I1 0.0000 0.5000 0.0000 x2
I2 0.2500 0.2500 0.0000 x4

The 8 most intense peaks (2θ = 15–90°), by intensity:
h k l  Position (°2θ)  I_rel
2 2 -2  27.30  1000
0 4 0  41.07  418
4 0 1  34.10  228
4 0 -4  36.82  222
4 0 -2  24.41  215
2 2 1  29.30  194
6 2 1  52.76  175
2 2 3  45.91  152